[1]
# CaCdS2
Calculated powder X-ray diffraction pattern, copper Kα. Input: a PBE-relaxed structure.
Lines closer than 0.1° are merged.

Structural model:
Unit cell a=5.667 b=4.180 c=16.147 alpha=90.00 beta=90.00 gamma=90.00
Atoms (fractional coordinates):
Ca 0.250 0.250 0.068
Ca 0.250 0.750 0.568
Ca 0.750 0.250 0.432
Ca 0.750 0.750 0.932
Cd 0.248 0.250 0.834
Cd 0.252 0.750 0.334
Cd 0.748 0.250 0.666
Cd 0.752 0.750 0.166
S 0.250 0.250 0.438
S 0.250 0.250 0.677
S 0.250 0.750 0.177
S 0.250 0.750 0.938
S 0.750 0.250 0.062
S 0.750 0.250 0.823
S 0.750 0.750 0.323
S 0.750 0.750 0.562

Top 10 peaks for 2θ from 10° to 90°, in order of rising 2θ:
2theta  I (rel.)
19.14  44
21.97  100
27.04  54
31.36  45
31.58  80
35.11  84
38.81  44
43.29  32
47.93  75
54.56  31

=====

[2]
# CaCdSi2S6
Calculated powder X-ray diffraction pattern, copper Kα. Input: a PBE-relaxed structure.
Lines closer than 0.1° are merged.

Structural model:
Unit cell a=8.730 b=8.730 c=6.413 alpha=101.67 beta=101.67 gamma=88.38
Atoms (fractional coordinates):
Ca 0.110 0.890 0.750
Ca 0.890 0.110 0.250
Cd 0.285 0.715 0.250
Cd 0.715 0.285 0.750
Si 0.217 0.372 0.754
Si 0.372 0.217 0.254
Si 0.628 0.783 0.746
Si 0.783 0.628 0.246
S 0.036 0.204 0.680
S 0.135 0.595 0.884
S 0.204 0.036 0.180
S 0.305 0.420 0.475
S 0.405 0.865 0.616
S 0.420 0.305 0.975
S 0.580 0.695 0.025
S 0.595 0.135 0.384
S 0.695 0.580 0.525
S 0.796 0.964 0.820
S 0.865 0.405 0.116
S 0.964 0.796 0.320

Top 10 peaks for 2θ from 10° to 90°, in order of rising 2θ:
2theta  I (rel.)
14.75  43
15.97  59
20.78  73
22.83  60
23.99  53
26.21  75
27.70  43
31.85  100
32.80  62
49.84  57

=====

[3]
# Ca2CdSb2
Calculated powder X-ray diffraction pattern, copper Kα. Input: a PBE-relaxed structure.
Lines closer than 0.1° are merged.

Structural model:
Unit cell a=7.356 b=4.645 c=17.647 alpha=90.00 beta=90.00 gamma=90.00
Atoms (fractional coordinates):
Ca 0.037 0.250 0.226
Ca 0.214 0.250 0.446
Ca 0.286 0.750 0.946
Ca 0.463 0.750 0.726
Ca 0.537 0.250 0.274
Ca 0.714 0.250 0.054
Ca 0.786 0.750 0.554
Ca 0.963 0.750 0.774
Cd 0.136 0.250 0.650
Cd 0.364 0.750 0.150
Cd 0.636 0.250 0.850
Cd 0.864 0.750 0.350
Sb 0.241 0.250 0.069
Sb 0.244 0.250 0.816
Sb 0.256 0.750 0.316
Sb 0.259 0.750 0.569
Sb 0.741 0.250 0.431
Sb 0.744 0.250 0.684
Sb 0.756 0.750 0.184
Sb 0.759 0.750 0.931

Top 10 peaks for 2θ from 10° to 90°, in order of rising 2θ:
2theta  I (rel.)
23.51  36
24.20  55
24.79  28
31.01  27
31.84  100
34.65  62
38.77  47
40.39  29
42.16  25
42.62  32

=====

[4]
# Ca2ScCd5
Calculated powder X-ray diffraction pattern, copper Kα. Input: a PBE-relaxed structure.
Lines closer than 0.1° are merged.

Structural model:
Unit cell a=5.161 b=5.161 c=14.829 alpha=90.00 beta=90.00 gamma=90.00
Atoms (fractional coordinates):
Ca 0.000 0.000 0.245
Ca 0.000 0.000 0.755
Ca 0.500 0.500 0.255
Ca 0.500 0.500 0.745
Sc 0.000 0.000 0.500
Sc 0.500 0.500 0.000
Cd 0.000 0.000 0.000
Cd 0.000 0.500 0.113
Cd 0.000 0.500 0.387
Cd 0.000 0.500 0.613
Cd 0.000 0.500 0.887
Cd 0.500 0.000 0.113
Cd 0.500 0.000 0.387
Cd 0.500 0.000 0.613
Cd 0.500 0.000 0.887
Cd 0.500 0.500 0.500

Top 10 peaks for 2θ from 10° to 90°, in order of rising 2θ:
2theta  I (rel.)
11.94  14
24.39  12
34.49  100
34.77  52
44.26  9
49.99  19
61.61  14
62.15  33
72.72  8
83.83  8

=====

[5]
# Ca2ScCd6
Calculated powder X-ray diffraction pattern, copper Kα. Input: a PBE-relaxed structure.
Lines closer than 0.1° are merged.

Structural model:
Unit cell a=8.615 b=8.615 c=3.437 alpha=90.00 beta=90.00 gamma=120.00
Atoms (fractional coordinates):
Ca 0.333 0.667 0.000
Ca 0.667 0.333 0.000
Sc 0.000 0.000 0.000
Cd 0.000 0.329 0.500
Cd 0.000 0.671 0.500
Cd 0.329 0.000 0.500
Cd 0.329 0.329 0.500
Cd 0.671 0.000 0.500
Cd 0.671 0.671 0.500

Top 10 peaks for 2θ from 10° to 90°, in order of rising 2θ:
2theta  I (rel.)
20.62  28
25.92  37
33.35  84
36.11  100
44.99  50
49.97  25
63.19  24
64.94  16
66.08  31
88.79  14

=====

[6]
# Ca4ScCd5
Calculated powder X-ray diffraction pattern, copper Kα. Input: a PBE-relaxed structure.
Lines closer than 0.1° are merged.

Structural model:
Unit cell a=3.747 b=3.747 c=19.101 alpha=90.00 beta=90.00 gamma=90.00
Atoms (fractional coordinates):
Ca 0.000 0.000 0.104
Ca 0.000 0.000 0.310
Ca 0.000 0.000 0.690
Ca 0.000 0.000 0.896
Sc 0.000 0.000 0.500
Cd 0.500 0.500 0.000
Cd 0.500 0.500 0.207
Cd 0.500 0.500 0.416
Cd 0.500 0.500 0.584
Cd 0.500 0.500 0.793

Top 10 peaks for 2θ from 10° to 90°, in order of rising 2θ:
2theta  I (rel.)
23.28  12
23.74  27
33.50  100
33.83  54
41.47  11
48.59  18
59.67  13
60.31  33
70.39  8
81.16  8

=====

[7]
# Ca6Cd5Si
Calculated powder X-ray diffraction pattern, copper Kα. Input: a PBE-relaxed structure.
Lines closer than 0.1° are merged.

Structural model:
Unit cell a=8.436 b=8.436 c=7.669 alpha=90.00 beta=90.00 gamma=143.26
Atoms (fractional coordinates):
Ca 0.000 0.000 0.238
Ca 0.000 0.000 0.762
Ca 0.340 0.660 0.245
Ca 0.340 0.660 0.755
Ca 0.660 0.340 0.245
Ca 0.660 0.340 0.755
Cd 0.169 0.831 0.500
Cd 0.174 0.826 0.000
Cd 0.500 0.500 0.500
Cd 0.826 0.174 0.000
Cd 0.831 0.169 0.500
Si 0.500 0.500 0.000

Top 10 peaks for 2θ from 10° to 90°, in order of rising 2θ:
2theta  I (rel.)
23.20  10
23.62  20
33.34  100
33.58  24
33.71  25
48.32  16
59.39  17
59.89  16
60.06  17
70.02  10

=====

[8]
# Ca2CdSi
Calculated powder X-ray diffraction pattern, copper Kα. Input: a PBE-relaxed structure.
Lines closer than 0.1° are merged.

Structural model:
Unit cell a=5.910 b=6.035 c=6.259 alpha=105.84 beta=92.49 gamma=101.81
Atoms (fractional coordinates):
Ca 0.155 0.124 0.276
Ca 0.260 0.530 0.850
Ca 0.740 0.470 0.150
Ca 0.845 0.876 0.724
Cd 0.321 0.703 0.412
Cd 0.679 0.297 0.588
Si 0.377 0.045 0.850
Si 0.623 0.955 0.150

Top 10 peaks for 2θ from 10° to 90°, in order of rising 2θ:
2theta  I (rel.)
14.80  58
30.83  80
31.09  45
31.56  68
31.81  80
31.96  51
32.22  100
33.21  54
36.90  45
38.54  71

=====

[9]
# Ca5SmCd4
Calculated powder X-ray diffraction pattern, copper Kα. Input: a PBE-relaxed structure.
Lines closer than 0.1° are merged.

Structural model:
Unit cell a=3.799 b=3.799 c=20.869 alpha=90.00 beta=90.00 gamma=90.00
Atoms (fractional coordinates):
Ca 0.000 0.000 0.000
Ca 0.000 0.000 0.186
Ca 0.000 0.000 0.372
Ca 0.000 0.000 0.628
Ca 0.000 0.000 0.814
Sm 0.500 0.500 0.500
Cd 0.500 0.500 0.092
Cd 0.500 0.500 0.281
Cd 0.500 0.500 0.719
Cd 0.500 0.500 0.908

Top 10 peaks for 2θ from 10° to 90°, in order of rising 2θ:
2theta  I (rel.)
21.29  19
23.41  31
29.07  10
31.85  100
33.35  55
34.98  11
39.91  15
47.89  22
55.77  10
58.66  32

=====

[10]
# CaSm2Cd2
Calculated powder X-ray diffraction pattern, copper Kα. Input: a PBE-relaxed structure.
Lines closer than 0.1° are merged.

Structural model:
Unit cell a=14.279 b=14.279 c=5.477 alpha=90.00 beta=90.00 gamma=164.69
Atoms (fractional coordinates):
Ca 0.145 0.855 0.750
Ca 0.855 0.145 0.250
Sm 0.047 0.953 0.250
Sm 0.235 0.765 0.250
Sm 0.765 0.235 0.750
Sm 0.953 0.047 0.750
Cd 0.357 0.643 0.750
Cd 0.453 0.547 0.250
Cd 0.547 0.453 0.750
Cd 0.643 0.357 0.250

Top 10 peaks for 2θ from 10° to 90°, in order of rising 2θ:
2theta  I (rel.)
17.36  8
31.61  17
32.73  100
46.12  12
47.81  7
57.01  8
58.41  20
59.13  8
68.61  7
79.37  6

=====

[11]
# Ca2Sm3Cd3
Calculated powder X-ray diffraction pattern, copper Kα. Input: a PBE-relaxed structure.
Lines closer than 0.1° are merged.

Structural model:
Unit cell a=3.815 b=5.530 c=23.189 alpha=90.00 beta=90.00 gamma=90.00
Atoms (fractional coordinates):
Ca 0.000 0.000 0.227
Ca 0.000 0.000 0.773
Ca 0.500 0.500 0.273
Ca 0.500 0.500 0.727
Sm 0.000 0.000 0.000
Sm 0.000 0.500 0.116
Sm 0.000 0.500 0.884
Sm 0.500 0.000 0.384
Sm 0.500 0.000 0.616
Sm 0.500 0.500 0.500
Cd 0.000 0.000 0.500
Cd 0.000 0.500 0.387
Cd 0.000 0.500 0.613
Cd 0.500 0.000 0.113
Cd 0.500 0.000 0.887
Cd 0.500 0.500 0.000

Top 10 peaks for 2θ from 10° to 90°, in order of rising 2θ:
2theta  I (rel.)
30.85  18
32.41  100
36.88  13
45.33  12
47.67  7
55.86  9
57.81  20
58.81  7
63.50  8
67.89  7

=====

[12]
# CaSm2Cd2
Calculated powder X-ray diffraction pattern, copper Kα. Input: a PBE-relaxed structure.
Lines closer than 0.1° are merged.

Structural model:
Unit cell a=16.679 b=5.038 c=3.583 alpha=90.00 beta=90.24 gamma=90.00
Atoms (fractional coordinates):
Ca 0.000 0.000 0.000
Ca 0.500 0.500 0.000
Sm 0.132 0.500 0.498
Sm 0.368 0.000 0.502
Sm 0.632 0.000 0.498
Sm 0.868 0.500 0.502
Cd 0.198 0.000 0.998
Cd 0.302 0.500 0.002
Cd 0.698 0.500 0.998
Cd 0.802 0.000 0.002

Top 10 peaks for 2θ from 10° to 90°, in order of rising 2θ:
2theta  I (rel.)
10.61  74
31.09  91
32.19  85
32.89  31
33.03  30
34.70  100
35.64  51
41.94  39
49.32  41
63.41  28